Computed powder diffractogram
Compound: Na6CaTi3Si2P4O24
Radiation: Cu Kα, 1.54184 Å
Structure: DFT lattice parameters and positions (GGA-PBE)
Peak positions follow from Bragg's law for the DFT cell and can differ from measured ones.

Largest 8 diffraction maxima, by angle, 2θ from 10° to 80°:
hkl 1 1 0, 2θ = 19.69°, I 914
hkl 2 0 -1, 2θ = 19.77°, I 495
hkl 1 0 -2, 2θ = 23.12°, I 1000
hkl 2 1 -1, 2θ = 23.23°, I 850
hkl -1 1 2, 2θ = 31.32°, I 856
hkl 1 -3 1, 2θ = 31.44°, I 857
hkl 2 2 -1, 2θ = 31.50°, I 821
hkl 3 -1 0, 2θ = 34.49°, I 456

Atomic structure:
```
data_Na6CaTi3Si2P4O24
_cell_length_a 8.971
_cell_length_b 8.989
_cell_length_c 8.990
_cell_angle_alpha 119.87
_cell_angle_beta 119.59
_cell_angle_gamma 90.23
_space_group_name_H-M_alt 'P 1'
_space_group_IT_number 1
loop_
_space_group_symop_operation_xyz
'x,y,z'
loop_
_atom_site_label
_atom_site_type_symbol
_atom_site_fract_x
_atom_site_fract_y
_atom_site_fract_z
Na1 Na 0.000 0.000 0.000
Na2 Na 0.100 0.221 0.477
Na3 Na 0.397 0.228 0.146
Na4 Na 0.503 0.501 0.999
Na5 Na 0.644 0.754 0.899
Na6 Na 0.891 0.753 0.503
Ca1 Ca 0.645 0.936 0.296
Ti1 Ti 0.146 0.443 0.294
Ti2 Ti 0.371 0.058 0.716
Ti3 Ti 0.867 0.550 0.706
Si1 Si 0.244 0.743 0.781
Si2 Si 0.758 0.246 0.198
P1 P 0.056 0.242 0.799
P2 P 0.460 0.262 0.513
P3 P 0.548 0.736 0.510
P4 P 0.987 0.751 0.211
O1 O 0.055 0.592 0.207
O2 O 0.065 0.731 0.792
O3 O 0.115 0.276 0.010
O4 O 0.137 0.933 0.418
O5 O 0.171 0.577 0.542
O6 O 0.228 0.249 0.794
O7 O 0.276 0.282 0.377
O8 O 0.285 0.929 0.787
O9 O 0.398 0.566 0.404
O10 O 0.417 0.729 0.946
O11 O 0.443 0.240 0.665
O12 O 0.473 0.099 0.353
O13 O 0.499 0.909 0.625
O14 O 0.567 0.232 0.009
O15 O 0.575 0.729 0.352
O16 O 0.627 0.435 0.644
O17 O 0.730 0.750 0.688
O18 O 0.755 0.067 0.197
O19 O 0.791 0.418 0.425
O20 O 0.809 0.727 0.197
O21 O 0.907 0.058 0.620
O22 O 0.922 0.283 0.175
O23 O 0.950 0.743 0.019
O24 O 0.987 0.396 0.775
```

Computed powder diffractogram
Compound: Na6CaZr3Si2P4O24
Radiation: Cu Kα, 1.54184 Å
Structure: DFT lattice parameters and positions (GGA-PBE)
Peak positions follow from Bragg's law for the DFT cell and can differ from measured ones.

Largest 8 diffraction maxima, by angle, 2θ from 10° to 80°:
hkl 1 0 0, 2θ = 13.56°, I 295
hkl 1 -1 1, 2θ = 19.21°, I 1000
hkl 1 1 -2, 2θ = 22.57°, I 428
hkl -1 2 2, 2θ = 30.58°, I 913
hkl 0 3 -1, 2θ = 33.56°, I 281
hkl 3 0 -2, 2θ = 33.71°, I 273
hkl -3 3 1, 2θ = 33.81°, I 248
hkl -2 4 2, 2θ = 46.12°, I 219

Atomic structure:
```
data_Na6CaZr3Si2P4O24
_cell_length_a 9.174
_cell_length_b 9.218
_cell_length_c 9.232
_cell_angle_alpha 90.31
_cell_angle_beta 119.71
_cell_angle_gamma 119.67
_space_group_name_H-M_alt 'P 1'
_space_group_IT_number 1
loop_
_space_group_symop_operation_xyz
'x,y,z'
loop_
_atom_site_label
_atom_site_type_symbol
_atom_site_fract_x
_atom_site_fract_y
_atom_site_fract_z
Na1 Na 0.000 0.000 0.000
Na2 Na 0.010 0.508 0.514
Na3 Na 0.156 0.259 0.766
Na4 Na 0.461 0.060 0.198
Na5 Na 0.513 0.881 0.786
Na6 Na 0.840 0.752 0.231
Ca1 Ca 0.285 0.640 0.942
Zr1 Zr 0.301 0.155 0.447
Zr2 Zr 0.708 0.845 0.555
Zr3 Zr 0.719 0.351 0.064
Si1 Si 0.204 0.959 0.751
Si2 Si 0.805 0.053 0.250
P1 P 0.209 0.752 0.263
P2 P 0.500 0.443 0.239
P3 P 0.524 0.552 0.761
P4 P 0.786 0.231 0.741
O1 O 0.009 0.089 0.267
O2 O 0.016 0.946 0.748
O3 O 0.021 0.593 0.249
O4 O 0.193 0.913 0.277
O5 O 0.195 0.780 0.739
O6 O 0.199 0.024 0.584
O7 O 0.211 0.730 0.102
O8 O 0.345 0.547 0.742
O9 O 0.358 0.444 0.061
O10 O 0.382 0.269 0.268
O11 O 0.408 0.789 0.433
O12 O 0.423 0.132 0.929
O13 O 0.438 0.400 0.606
O14 O 0.581 0.179 0.575
O15 O 0.604 0.612 0.391
O16 O 0.607 0.885 0.075
O17 O 0.649 0.527 0.937
O18 O 0.671 0.732 0.757
O19 O 0.683 0.456 0.252
O20 O 0.787 0.062 0.751
O21 O 0.794 0.291 0.906
O22 O 0.795 0.002 0.421
O23 O 0.809 0.234 0.249
O24 O 0.966 0.371 0.739
```

Question: What is the formula in the first record?
Answer: Na6CaTi3Si2P4O24